Diffraction record for Tl2MoO. The powder diffractogram is simulated, not measured: it uses a GGA+U-relaxed structure and a wavelength of 1.5418 Å.

Top 12 peaks for 2θ from 10° to 90°, most intense first:
| index | Position (°2θ) | I (rel.) |
| --- | --- | --- |
| 1 1 2 | 32.0 | 100 |
| 2 1 1 | 30.2 | 68 |
| 2 2 0 | 34.3 | 41 |
| 3 1 2 | 47.6 | 32 |
| 2 0 0 | 24.1 | 31 |
| 3 0 1 | 39.0 | 25 |
| 2 0 4 | 61.3 | 21 |
| 3 2 1 | 46.4 | 20 |
| 4 3 1 | 64.6 | 20 |
| 3 2 3 | 61.7 | 18 |
| 4 1 1 | 52.9 | 14 |
| 5 2 1 | 70.0 | 11 |

Structural model:
```
data_Tl2MoO
_cell_length_a 7.391
_cell_length_b 7.391
_cell_length_c 6.630
_cell_angle_alpha 90.00
_cell_angle_beta 90.00
_cell_angle_gamma 90.00
_symmetry_space_group_name_H-M 'I -4 2 d'
_symmetry_Int_Tables_number 122
_symmetry_space_group_name_Hall 'I -4 2bw'
loop_
_atom_site_label
_atom_site_type_symbol
_atom_site_fract_x
_atom_site_fract_y
_atom_site_fract_z
Tl1 Tl 0.182 0.250 0.125
Mo1 Mo 0.000 0.000 0.500
O1 O 0.000 0.000 0.000
```